[1]
Calculated XRD peak list of LiNd3Ir8 for Cu Ka, from a cell relaxed with GGA-PBE.
Intensities are scaled so that the largest is 100.

Structure:
```
LiNd3Ir8
1.0
2.695 1.556 8.791
-2.695 1.556 8.791
0.000 -3.112 8.791
Li Nd Ir
1 3 8
direct
0.000 0.000 0.000
0.122 0.122 0.122
0.505 0.505 0.505
0.633 0.633 0.633
0.066 0.066 0.570
0.066 0.565 0.565
0.066 0.570 0.066
0.317 0.317 0.317
0.565 0.066 0.565
0.565 0.565 0.066
0.570 0.066 0.066
0.816 0.816 0.816
```

Most intense lines, 5° ≤ 2θ ≤ 70°, in order of rising 2θ:
2θ 19.31, rel. 2
2θ 20.19, rel. 32
2θ 25.48, rel. 2
2θ 30.49, rel. 2
2θ 33.26, rel. 13
2θ 39.22, rel. 100
2θ 41.04, rel. 60
2θ 47.75, rel. 15
2θ 52.34, rel. 8
2θ 59.43, rel. 5
2θ 63.44, rel. 32
2θ 69.83, rel. 30

[2]
Calculated XRD peak list of Mn2Pd6Au for Cu Ka, from a cell relaxed with GGA-PBE.
Intensities are scaled so that the largest is 100.

Structure:
```
Mn2Pd6Au
1.0
0.000 5.745 6.034
2.010 0.000 6.034
2.010 5.745 0.000
Mn Pd Au
2 6 1
direct
0.161 0.161 0.839
0.839 0.839 0.161
0.168 0.490 0.510
0.168 0.832 0.168
0.490 0.168 0.832
0.510 0.832 0.168
0.832 0.168 0.832
0.832 0.510 0.490
0.500 0.500 0.500
```

Most intense lines, 5° ≤ 2θ ≤ 70°, in order of rising 2θ:
2θ 14.68, rel. 5
2θ 21.36, rel. 5
2θ 24.59, rel. 7
2θ 29.61, rel. 2
2θ 33.15, rel. 4
2θ 34.59, rel. 3
2θ 39.47, rel. 100
2θ 44.49, rel. 3
2θ 45.09, rel. 34
2θ 47.48, rel. 14
2θ 65.67, rel. 11
2θ 67.55, rel. 19

[3]
Calculated XRD peak list of MoH2N for Cu Ka, from a cell relaxed with GGA-PBE.
Intensities are scaled so that the largest is 100.

Structure:
```
MoH2N
1.0
-1.472 1.472 7.215
1.472 -1.472 7.215
1.472 1.472 -7.215
Mo H N
2 4 2
direct
0.375 0.625 0.750
0.625 0.375 0.250
0.000 0.500 0.500
0.500 0.000 0.000
0.500 0.500 0.000
0.500 0.500 0.500
0.125 0.875 0.250
0.875 0.125 0.750
```

Most intense lines, 5° ≤ 2θ ≤ 70°, in order of rising 2θ:
2θ 24.68, rel. 100
2θ 31.01, rel. 69
2θ 35.76, rel. 43
2θ 43.94, rel. 24
2θ 45.35, rel. 76
2θ 50.60, rel. 14
2θ 54.33, rel. 14
2θ 58.66, rel. 34
2θ 63.18, rel. 13
2θ 66.39, rel. 8
2θ 68.90, rel. 20

[4]
Calculated XRD peak list of Pm4Ag2Sn for Cu Ka, from a cell relaxed with GGA-PBE.
Intensities are scaled so that the largest is 100.

Structure:
```
Pm4Ag2Sn
1.0
-4.782 4.782 4.505
4.782 -4.782 4.505
4.782 4.782 -4.505
Pm Ag Sn
8 4 2
direct
0.125 0.735 0.741
0.134 0.244 0.759
0.265 0.006 0.390
0.485 0.375 0.241
0.616 0.875 0.610
0.625 0.866 0.110
0.756 0.515 0.890
0.994 0.384 0.259
0.250 0.625 0.125
0.375 0.500 0.625
0.500 0.125 0.875
0.875 0.750 0.375
0.000 0.000 0.000
0.750 0.250 0.500
```

Most intense lines, 5° ≤ 2θ ≤ 70°, in order of rising 2θ:
2θ 29.54, rel. 84
2θ 29.73, rel. 100
2θ 31.21, rel. 86
2θ 35.27, rel. 68
2θ 35.76, rel. 58
2θ 36.56, rel. 43
2θ 47.04, rel. 28
2θ 48.56, rel. 18
2θ 48.66, rel. 21
2θ 49.66, rel. 19
2θ 50.52, rel. 24
2θ 59.70, rel. 22

[5]
Calculated XRD peak list of K2SrAg for Cu Ka, from a cell relaxed with GGA-PBE.
Intensities are scaled so that the largest is 100.

Structure:
```
K2SrAg
1.0
5.913 -2.166 0.000
5.913 2.166 0.000
-3.142 0.000 7.801
K Sr Ag
2 1 1
direct
0.000 0.000 0.000
0.180 0.180 0.678
0.821 0.821 0.336
0.532 0.532 0.338
```

Most intense lines, 5° ≤ 2θ ≤ 70°, in order of rising 2θ:
2θ 11.34, rel. 100
2θ 22.80, rel. 23
2θ 23.41, rel. 25
2θ 26.25, rel. 48
2θ 29.61, rel. 32
2θ 30.24, rel. 23
2θ 30.75, rel. 29
2θ 32.06, rel. 36
2θ 33.70, rel. 27
2θ 34.49, rel. 23
2θ 37.14, rel. 19
2θ 41.69, rel. 13